(1)
Theoretical X-ray diffraction stick pattern of PmPrNd2Tl2 for copper Kα, from the GGA-PBE geometry in Alexandria.
No peak broadening, texture or thermal motion is included.

Atomic structure:
```
data_PmPrNd2Tl2
_space_group_name_H-M_alt 'P m c 21'
_space_group_IT_number 26
_space_group_name_Hall 'P 2c -2'
_cell_length_a 5.2978
_cell_length_b 10.3485
_cell_length_c 6.9373
_cell_angle_alpha 90.00
_cell_angle_beta 90.00
_cell_angle_gamma 90.00
loop_
_atom_site_label
_atom_site_type_symbol
_atom_site_fract_x
_atom_site_fract_y
_atom_site_fract_z
Pm1 Pm 0.0000 0.1847 0.0000
Pr1 Pr 0.5000 0.0432 0.2711
Nd1 Nd 0.0000 0.4562 0.3651
Nd2 Nd 0.5000 0.3179 0.6369
Tl1 Tl 0.0000 0.1361 0.5303
Tl2 Tl 0.5000 0.3625 0.1084
```

Top 6 peaks for 2θ from 5° to 70°, low angle first:
| index | d (Å) | intensity |
| --- | --- | --- |
| 1 0 2 | 2.902 | 50 |
| 1 3 0 | 2.891 | 100 |
| 1 1 2 | 2.794 | 80 |
| 1 3 1 | 2.668 | 30 |
| 2 0 0 | 2.649 | 57 |
| 3 3 0 | 1.573 | 24 |



(2)
Theoretical X-ray diffraction stick pattern of TbCe3Bi4 for copper Kα, from the GGA-PBE geometry in Alexandria.
No peak broadening, texture or thermal motion is included.

Atomic structure:
```
data_TbCe3Bi4
_space_group_name_H-M_alt 'P m -3 m'
_space_group_IT_number 221
_space_group_name_Hall '-P 4 2 3'
_cell_length_a 6.4722
_cell_length_b 6.4722
_cell_length_c 6.4722
_cell_angle_alpha 90.00
_cell_angle_beta 90.00
_cell_angle_gamma 90.00
loop_
_atom_site_label
_atom_site_type_symbol
_atom_site_fract_x
_atom_site_fract_y
_atom_site_fract_z
Tb1 Tb 0.0000 0.0000 0.0000
Ce1 Ce 0.0000 0.5000 0.5000
Bi1 Bi 0.0000 0.0000 0.5000
Bi2 Bi 0.5000 0.5000 0.5000
```

Top 6 peaks for 2θ from 5° to 70°, low angle first:
| index | d (Å) | intensity |
| --- | --- | --- |
| 1 1 1 | 3.737 | 6 |
| 2 0 0 | 3.236 | 100 |
| 2 2 0 | 2.288 | 79 |
| 2 2 2 | 1.868 | 29 |
| 4 0 0 | 1.618 | 14 |
| 4 2 0 | 1.447 | 38 |